(1)
This entry pairs a crystal structure of CsCoBr4 with its calculated XRD peak list. Radiation: Cu Kα. Structure: the GGA-PBE geometry in Alexandria.
Kinematic intensities with the Lorentz-polarization factor, no thermal factor.

Peak list (8 most intense, 5 to 70 degrees two-theta, low angle first)
- 2θ = 15.8°, I = 100
- 2θ = 22.5°, I = 25
- 2θ = 25.2°, I = 52
- 2θ = 25.8°, I = 47
- 2θ = 30.4°, I = 63
- 2θ = 32.0°, I = 65
- 2θ = 39.4°, I = 23
- 2θ = 41.5°, I = 27

Structure:
```
CsCoBr4
1.0
-5.600 5.600 4.559
5.600 -5.600 4.559
5.600 5.600 -4.559
Cs Co Br
2 2 8
direct
0.375 0.625 0.750
0.625 0.375 0.250
0.125 0.875 0.250
0.875 0.125 0.750
0.144 0.725 0.419
0.193 0.275 0.919
0.275 0.193 0.419
0.275 0.856 0.081
0.725 0.144 0.919
0.725 0.807 0.581
0.807 0.725 0.081
0.856 0.275 0.581
```

(2)
This entry pairs a crystal structure of PmPd3S4 with its calculated XRD peak list. Radiation: Cu Kα. Structure: the GGA-PBE geometry in Alexandria.
Kinematic intensities with the Lorentz-polarization factor, no thermal factor.

Peak list (8 most intense, 5 to 70 degrees two-theta, low angle first)
- 2θ = 29.6°, I = 93
- 2θ = 32.5°, I = 100
- 2θ = 37.7°, I = 15
- 2θ = 46.6°, I = 17
- 2θ = 48.7°, I = 23
- 2θ = 50.6°, I = 57
- 2θ = 54.4°, I = 31
- 2θ = 63.2°, I = 21

Structure:
```
PmPd3S4
1.0
6.746 0.000 0.000
0.000 6.746 0.000
0.000 0.000 6.746
Pm Pd S
2 6 8
direct
0.000 0.000 0.000
0.500 0.500 0.500
0.000 0.250 0.500
0.000 0.750 0.500
0.250 0.500 0.000
0.500 0.000 0.250
0.500 0.000 0.750
0.750 0.500 0.000
0.250 0.250 0.250
0.250 0.250 0.750
0.250 0.750 0.250
0.250 0.750 0.750
0.750 0.250 0.250
0.750 0.250 0.750
0.750 0.750 0.250
0.750 0.750 0.750
```